Record 1
The following is a computed X-ray powder pattern of SmIn3Ag8. It was derived from a DFT-relaxed cell (GGA-PBE, Alexandria), using Cu Ka.
No peak broadening, texture or thermal motion is included.

Cell and atoms:
Lattice parameters (Å, degrees): 5.5907 5.5907 9.2839 90.00 90.00 120.00
Space group P3m1 (No. 156)
Symmetry-distinct sites (fractional):
Sm 0.0000 0.0000 0.0000 x1
In 0.0000 0.0000 0.3683 x1
In 0.6667 0.3333 0.4993 x1
In 0.6667 0.3333 0.8718 x1
Ag 0.1640 0.3280 0.6811 x3
Ag 0.3333 0.6667 0.4328 x1
Ag 0.3333 0.6667 0.9300 x1
Ag 0.5023 0.0046 0.1847 x3

Largest 10 diffraction maxima, low angle first, 5° ≤ 2θ ≤ 70°:
two_theta  d/Å  I_rel  (hkl)
32.02  2.795  31  1 1 0
34.39  2.608  76  0 1 3
37.56  2.395  100  1 1 2
38.43  2.343  85  2 0 1
38.80  2.321  18  0 0 4
42.10  2.146  17  0 2 2
58.60  1.575  29  1 2 3
60.76  1.524  23  0 3 2
63.10  1.473  34  0 2 5
66.95  1.398  27  2 2 0

***

Record 2
The following is a computed X-ray powder pattern of Dy4FeGe8. It was derived from a DFT-relaxed cell (GGA-PBE, Alexandria), using Cu Ka.
No peak broadening, texture or thermal motion is included.

Cell and atoms:
Lattice parameters (Å, degrees): 4.015 4.145 15.898 90.00 90.00 90.00
Space group Pmm2 (No. 25)
Symmetry-distinct sites (fractional):
Dy 0.000 0.000 0.000 x1
Dy 0.000 0.500 0.495 x1
Dy 0.500 0.000 0.791 x1
Dy 0.500 0.500 0.291 x1
Fe 0.000 0.500 0.703 x1
Ge 0.000 0.000 0.338 x1
Ge 0.000 0.000 0.634 x1
Ge 0.000 0.500 0.143 x1
Ge 0.000 0.500 0.850 x1
Ge 0.500 0.000 0.148 x1
Ge 0.500 0.000 0.447 x1
Ge 0.500 0.500 0.632 x1
Ge 0.500 0.500 0.955 x1

Largest 10 diffraction maxima, low angle first, 5° ≤ 2θ ≤ 70°:
two_theta  d/Å  I_rel  (hkl)
24.85  3.584  15  1 0 2
27.31  3.265  9  0 1 3
33.83  2.650  16  0 0 6
35.44  2.533  100  1 1 3
35.58  2.523  17  0 1 5
40.80  2.211  15  1 0 6
43.67  2.073  19  0 2 0
45.17  2.007  17  2 0 0
61.30  1.512  9  1 2 6
64.64  1.442  11  2 2 0

***

Record 3
The following is a computed X-ray powder pattern of Tb3Pr4HoSe8. It was derived from a DFT-relaxed cell (GGA-PBE, Alexandria), using Cu Ka.
No peak broadening, texture or thermal motion is included.

Cell and atoms:
Lattice parameters (Å, degrees): 8.2577 8.2577 20.9480 90.00 90.00 120.00
Space group R-3m (No. 166, hexagonal axes)
Symmetry-distinct sites (fractional):
Tb 0.0000 0.5000 0.0000 x9
Pr 0.0000 0.0000 0.5000 x3
Pr 0.0000 0.5000 0.5000 x9
Ho 0.0000 0.0000 0.0000 x3
Se 0.0000 0.0000 0.2554 x6
Se 0.0019 0.5010 0.7441 x18

Largest 10 diffraction maxima, low angle first, 5° ≤ 2θ ≤ 70°:
two_theta  d/Å  I_rel  (hkl)
25.51  3.491  5  0 0 6
26.34  3.384  13  2 0 2
30.27  2.953  100  0 2 4
42.80  2.113  38  2 0 8
43.85  2.064  36  2 2 0
50.49  1.807  3  0 2 10
51.42  1.777  5  2 2 6
52.41  1.746  7  0 0 12
54.21  1.692  19  4 0 4
62.95  1.477  12  0 4 8

***

Record 4
The following is a computed X-ray powder pattern of Cd12GaHg7. It was derived from a DFT-relaxed cell (GGA-PBE, Alexandria), using Cu Ka.
No peak broadening, texture or thermal motion is included.

Cell and atoms:
Lattice parameters (Å, degrees): 11.5349 11.5349 12.5597 90.00 90.00 120.00
Space group R-3m (No. 166, hexagonal axes)
Symmetry-distinct sites (fractional):
Cd 0.0000 0.2662 0.0000 x18
Cd 0.0334 0.5167 0.1260 x18
Ga 0.0000 0.0000 0.0000 x3
Hg 0.0000 0.0000 0.5000 x3
Hg 0.0884 0.1767 0.7731 x18

Largest 10 diffraction maxima, low angle first, 5° ≤ 2θ ≤ 70°:
two_theta  d/Å  I_rel  (hkl)
29.83  2.995  86  1 0 4
33.11  2.706  53  1 3 1
34.41  2.606  85  0 3 3
35.41  2.535  100  3 1 2
36.69  2.449  92  4 0 1
38.81  2.321  31  0 4 2
51.58  1.772  46  3 0 6
63.97  1.455  36  4 3 4
64.64  1.442  28  4 4 0
67.28  1.392  21  0 7 2

***

Record 5
The following is a computed X-ray powder pattern of Ba2GaSbTe5. It was derived from a DFT-relaxed cell (GGA-PBE, Alexandria), using Cu Ka.
No peak broadening, texture or thermal motion is included.

Cell and atoms:
Lattice parameters (Å, degrees): 13.807 9.701 10.046 90.00 90.00 90.00
Space group Pnma (No. 62)
Symmetry-distinct sites (fractional):
Ba 0.175 0.006 0.124 x8
Ga 0.099 0.750 0.835 x4
Sb 0.030 0.750 0.481 x4
Te 0.009 0.250 0.953 x4
Te 0.059 0.533 0.677 x8
Te 0.215 0.250 0.392 x4
Te 0.222 0.750 0.382 x4

Largest 10 diffraction maxima, low angle first, 5° ≤ 2θ ≤ 70°:
two_theta  d/Å  I_rel  (hkl)
25.53  3.489  18  0 2 2
26.34  3.384  100  1 2 2
27.32  3.264  37  4 0 1
28.17  3.168  28  3 2 1
28.67  3.114  16  2 2 2
31.82  2.812  14  4 2 0
33.10  2.706  17  4 2 1
37.07  2.425  28  0 4 0
38.09  2.362  23  2 0 4
46.62  1.948  21  4 4 1

***

Record 6
The following is a computed X-ray powder pattern of LaTb2Cd2. It was derived from a DFT-relaxed cell (GGA-PBE, Alexandria), using Cu Ka.
No peak broadening, texture or thermal motion is included.

Cell and atoms:
Lattice parameters (Å, degrees): 3.785 5.512 14.079 90.00 97.74 90.00
Space group P2_1/m (No. 11)
Symmetry-distinct sites (fractional):
La 0.149 0.250 0.296 x2
Tb 0.047 0.750 0.094 x2
Tb 0.236 0.750 0.473 x2
Cd 0.358 0.250 0.717 x2
Cd 0.453 0.750 0.907 x2

Largest 10 diffraction maxima, low angle first, 5° ≤ 2θ ≤ 70°:
two_theta  d/Å  I_rel  (hkl)
32.08  2.790  22  0 0 5
32.49  2.756  27  0 2 0
32.89  2.723  100  1 1 2
46.31  1.961  16  0 2 5
48.08  1.892  9  2 0 -1
57.70  1.598  12  1 1 7
58.22  1.585  19  1 3 2
58.97  1.566  8  2 0 4
59.23  1.560  10  2 2 -1
68.97  1.362  10  2 2 4

***

Record 7
The following is a computed X-ray powder pattern of La2Pm2Al3. It was derived from a DFT-relaxed cell (GGA-PBE, Alexandria), using Cu Ka.
No peak broadening, texture or thermal motion is included.

Cell and atoms:
Lattice parameters (Å, degrees): 3.558 31.542 3.537 90.00 90.00 90.00
Space group Cmmm (No. 65)
Symmetry-distinct sites (fractional):
La 0.000 0.192 0.000 x4
Pm 0.000 0.063 0.000 x4
Al 0.000 0.372 0.500 x4
Al 0.000 0.500 0.500 x2

Largest 10 diffraction maxima, low angle first, 5° ≤ 2θ ≤ 70°:
two_theta  d/Å  I_rel  (hkl)
22.55  3.943  72  0 8 0
25.18  3.537  100  0 0 1
32.05  2.792  63  1 7 0
34.05  2.633  91  0 8 1
35.93  2.500  97  1 1 1
41.19  2.192  32  1 7 1
46.04  1.971  18  0 16 0
57.14  1.612  41  1 15 1
62.12  1.494  19  1 7 2
63.07  1.474  30  2 8 1

***

Record 8
The following is a computed X-ray powder pattern of NpAg7Cl12. It was derived from a DFT-relaxed cell (GGA-PBE, Alexandria), using Cu Ka.
No peak broadening, texture or thermal motion is included.

Cell and atoms:
Lattice parameters (Å, degrees): 17.3055 17.3055 6.8399 90.00 90.00 120.00
Space group R-3 (No. 148, hexagonal axes)
Symmetry-distinct sites (fractional):
Np 0.0000 0.0000 0.0000 x3
Ag 0.0000 0.0000 0.5000 x3
Ag 0.0599 0.7938 0.9552 x18
Cl 0.0006 0.8813 0.2311 x18
Cl 0.0115 0.4472 0.7296 x18

Largest 10 diffraction maxima, low angle first, 5° ≤ 2θ ≤ 70°:
two_theta  d/Å  I_rel  (hkl)
10.22  8.653  39  1 1 0
14.23  6.223  100  1 0 1
17.75  4.996  37  3 0 0
20.53  4.326  44  2 2 0
25.07  3.552  30  4 -3 1
27.27  3.270  73  4 1 0
29.07  3.072  49  3 2 1
33.94  2.641  67  3 1 2
37.08  2.425  35  5 -3 2
45.66  1.987  37  8 -2 1

***

Record 9
The following is a computed X-ray powder pattern of K2DyC2O6. It was derived from a DFT-relaxed cell (GGA-PBE, Alexandria), using Cu Ka.
No peak broadening, texture or thermal motion is included.

Cell and atoms:
Lattice parameters (Å, degrees): 5.5469 5.5469 7.2149 90.00 90.00 120.00
Space group P-3m1 (No. 164)
Symmetry-distinct sites (fractional):
K 0.3333 0.6667 0.3081 x2
Dy 0.0000 0.0000 0.0000 x1
C 0.3333 0.6667 0.8401 x2
O 0.1977 0.3954 0.8312 x6

Largest 10 diffraction maxima, low angle first, 5° ≤ 2θ ≤ 70°:
two_theta  d/Å  I_rel  (hkl)
12.27  7.215  92  0 0 1
18.47  4.804  27  1 0 0
22.23  3.999  100  0 1 1
31.00  2.885  79  1 0 2
32.28  2.773  41  1 1 0
34.65  2.589  20  1 1 1
39.54  2.279  28  2 0 1
45.36  1.999  25  0 2 2
50.22  1.817  32  1 1 3
51.93  1.761  29  1 2 1

***

Record 10
The following is a computed X-ray powder pattern of CsZrF6. It was derived from a DFT-relaxed cell (GGA-PBE, Alexandria), using Cu Ka.
No peak broadening, texture or thermal motion is included.

Cell and atoms:
Lattice parameters (Å, degrees): 5.969 8.757 6.805 90.00 98.26 90.00
Space group C2/m (No. 12)
Symmetry-distinct sites (fractional):
Cs 0.000 0.000 0.000 x2
Zr 0.000 0.500 0.500 x2
F 0.132 0.500 0.242 x4
F 0.228 0.341 0.634 x8

Largest 10 diffraction maxima, low angle first, 5° ≤ 2θ ≤ 70°:
two_theta  d/Å  I_rel  (hkl)
20.28  4.379  56  0 2 0
21.12  4.206  100  1 1 -1
23.70  3.754  72  1 1 1
26.47  3.367  16  0 0 2
33.58  2.669  20  0 2 2
36.70  2.449  28  2 2 0
37.52  2.397  16  2 0 -2
37.66  2.389  38  1 3 1
42.24  2.139  23  1 1 -3
58.74  1.572  15  0 2 4

***

Record 11
The following is a computed X-ray powder pattern of NaRe4O12. It was derived from a DFT-relaxed cell (GGA-PBE, Alexandria), using Cu Ka.
No peak broadening, texture or thermal motion is included.

Cell and atoms:
Lattice parameters (Å, degrees): 7.634 7.634 7.634 90.00 90.00 90.00
Space group Im-3m (No. 229)
Symmetry-distinct sites (fractional):
Na 0.000 0.000 0.000 x2
Re 0.250 0.250 0.250 x8
O 0.000 0.248 0.248 x24

Largest 8 diffraction maxima, low angle first, 5° ≤ 2θ ≤ 70°:
two_theta  d/Å  I_rel  (hkl)
16.42  5.398  1  1 1 0
23.30  3.817  100  2 0 0
33.19  2.699  64  2 2 0
40.95  2.204  14  2 2 2
47.65  1.908  22  4 0 0
53.70  1.707  41  4 2 0
59.30  1.558  26  4 2 2
69.68  1.349  13  4 4 0

***

Record 12
The following is a computed X-ray powder pattern of PmSm6Sc6. It was derived from a DFT-relaxed cell (GGA-PBE, Alexandria), using Cu Ka.
No peak broadening, texture or thermal motion is included.

Cell and atoms:
Lattice parameters (Å, degrees): 6.4750 6.4750 10.9930 90.00 90.00 120.00
Space group P6/mmm (No. 191)
Symmetry-distinct sites (fractional):
Pm 0.0000 0.0000 0.0000 x1
Sm 0.0000 0.0000 0.3379 x2
Sm 0.3333 0.6667 0.0000 x2
Sm 0.3333 0.6667 0.5000 x2
Sc 0.0000 0.5000 0.2447 x6

Largest 10 diffraction maxima, low angle first, 5° ≤ 2θ ≤ 70°:
two_theta  d/Å  I_rel  (hkl)
27.55  3.238  100  1 1 0
29.11  3.067  39  1 0 3
32.09  2.790  73  1 1 2
35.96  2.498  34  2 0 2
37.05  2.426  21  1 1 3
48.72  1.869  21  3 0 0
49.71  1.834  22  0 0 6
51.65  1.770  19  3 0 2
56.88  1.619  24  2 2 0
57.83  1.595  35  1 1 6